Simulated powder diffraction line list
Compound: CsLiCu2I4
Radiation: a wavelength of 1.5418 Å
Structure: a DFT-relaxed cell (GGA-PBE, Alexandria)

Top 10 peaks for 2θ = 10–80°, by angle:
2θ 15.21, rel. 30, hkl 1 0 1; 2θ 23.85, rel. 88, hkl 1 1 2; 2θ 24.38, rel. 100, hkl 1 2 1; 2θ 28.84, rel. 40, hkl 0 1 3; 2θ 31.25, rel. 34, hkl 2 2 0; 2θ 39.89, rel. 31, hkl 1 1 4; 2θ 41.55, rel. 22, hkl 1 4 1; 2θ 42.89, rel. 19, hkl 3 1 2; 2θ 43.21, rel. 19, hkl 3 2 1; 2θ 47.42, rel. 44, hkl 2 3 3

Cell and atoms:
```
CsLiCu2I4
1.0
7.2300 0.0000 0.0000
0.0000 9.3680 0.0000
0.0000 0.0000 9.8381
Cs Li Cu I
2 2 4 8
direct
0.0000 0.0000 0.0000
0.5000 0.5000 0.5000
0.0000 0.0000 0.5000
0.5000 0.5000 0.0000
0.0000 0.5000 0.1307
0.0000 0.5000 0.8693
0.5000 0.0000 0.3693
0.5000 0.0000 0.6307
0.2381 0.1630 0.3372
0.2381 0.8370 0.6628
0.2619 0.3370 0.8372
0.2619 0.6630 0.1628
0.7381 0.3370 0.1628
0.7381 0.6630 0.8372
0.7619 0.1630 0.6628
0.7619 0.8370 0.3372
```